The following is a theoretical PXRD pattern of La3Sc. It was derived from a crystal structure in Alexandria, relaxed with PBE, using Cu Kα.
Intensities are scaled so that the largest is 100.

Largest 10 diffraction maxima, low angle first, 2θ = 10–80°:
2θ = 17.9°, I = 7
2θ = 21.8°, I = 5
2θ = 30.3°, I = 100
2θ = 35.0°, I = 17
2θ = 35.2°, I = 33
2θ = 50.5°, I = 24
2θ = 50.7°, I = 12
2θ = 60.0°, I = 14
2θ = 60.2°, I = 28
2θ = 63.1°, I = 12

Crystal structure
a = 10.8566 Å, b = 10.8566 Å, c = 10.8566 Å
α = 152.86°, β = 152.86°, γ = 38.76°
Atoms (fractional coordinates):
1 La 0.0000 0.5000 0.5000
2 La 0.1254 0.1254 0.0000
3 La 0.2500 0.7500 0.5000
4 La 0.5000 0.0000 0.5000
5 La 0.7500 0.2500 0.5000
6 La 0.8746 0.8746 0.0000
7 Sc 0.3743 0.3743 0.0000
8 Sc 0.6257 0.6257 0.0000